[1]
Pm6PrY12: computed PXRD pattern (Cu Kα X-rays), based on a crystal structure in Alexandria, relaxed with GGA-PBE.

Crystal structure
a = 8.7228 Å, b = 8.7228 Å, c = 8.7228 Å
α = 79.79°, β = 79.79°, γ = 79.79°
Atoms (fractional coordinates):
Pm (0.2714, 0.2714, 0.6646)
Pm (0.2714, 0.6646, 0.2714)
Pm (0.3354, 0.7286, 0.7286)
Pm (0.6646, 0.2714, 0.2714)
Pm (0.7286, 0.3354, 0.7286)
Pm (0.7286, 0.7286, 0.3354)
Pr (0.5000, 0.5000, 0.5000)
Y (0.0170, 0.0170, 0.6967)
Y (0.0170, 0.6967, 0.0170)
Y (0.0190, 0.3630, 0.3630)
Y (0.3033, 0.9830, 0.9830)
Y (0.3630, 0.0190, 0.3630)
Y (0.3630, 0.3630, 0.0190)
Y (0.6370, 0.6370, 0.9810)
Y (0.6370, 0.9810, 0.6370)
Y (0.6967, 0.0170, 0.0170)
Y (0.9810, 0.6370, 0.6370)
Y (0.9830, 0.3033, 0.9830)
Y (0.9830, 0.9830, 0.3033)

Most intense lines, 2θ = 15–90°, in order of rising 2θ:
two_theta  d (Å)  intensity
26.36  3.381  8
27.40  3.256  7
27.62  3.230  18
30.50  2.931  21
31.63  2.829  100
41.61  2.170  20
48.84  1.865  18
54.92  1.672  15
58.68  1.573  13
59.36  1.557  12



[2]
Pm2Pr3Y6: computed PXRD pattern (Cu Kα X-rays), based on a crystal structure in Alexandria, relaxed with GGA-PBE.

Crystal structure
a = 32.3529 Å, b = 32.3529 Å, c = 32.3529 Å
α = 6.43°, β = 6.43°, γ = 6.43°
Atoms (fractional coordinates):
Pm (0.0451, 0.0451, 0.0451)
Pm (0.9549, 0.9549, 0.9549)
Pr (0.2276, 0.2276, 0.2276)
Pr (0.5000, 0.5000, 0.5000)
Pr (0.7724, 0.7724, 0.7724)
Y (0.1362, 0.1362, 0.1362)
Y (0.3184, 0.3184, 0.3184)
Y (0.4086, 0.4086, 0.4086)
Y (0.5914, 0.5914, 0.5914)
Y (0.6816, 0.6816, 0.6816)
Y (0.8638, 0.8638, 0.8638)

Most intense lines, 2θ = 15–90°, in order of rising 2θ:
two_theta  d (Å)  intensity
30.18  2.961  100
30.46  2.935  32
35.07  2.559  67
50.25  1.816  24
50.62  1.803  23
59.75  1.548  14
59.91  1.544  28
60.23  1.536  14
62.75  1.481  12
81.77  1.178  11



[3]
PmPr2Y12: computed PXRD pattern (Cu Kα X-rays), based on a crystal structure in Alexandria, relaxed with GGA-PBE.

Crystal structure
a = 6.7364 Å, b = 6.7364 Å, c = 24.9985 Å
α = 90.00°, β = 90.00°, γ = 116.41°
Atoms (fractional coordinates):
Pm (0.2500, 0.7500, 0.0004)
Pm (0.7500, 0.2500, 0.9996)
Pr (0.2500, 0.7500, 0.2716)
Pr (0.2500, 0.7500, 0.7338)
Pr (0.7500, 0.2500, 0.2662)
Pr (0.7500, 0.2500, 0.7284)
Y (0.0007, 0.5007, 0.1273)
Y (0.0010, 0.9990, 0.9221)
Y (0.0116, 0.5116, 0.5834)
Y (0.0146, 0.9854, 0.4396)
Y (0.2500, 0.2500, 0.1994)
Y (0.2500, 0.2500, 0.3284)
Y (0.2500, 0.2500, 0.6716)
Y (0.2500, 0.2500, 0.8006)
Y (0.4854, 0.5146, 0.4396)
Y (0.4884, 0.9884, 0.5834)
Y (0.4990, 0.5010, 0.9221)
Y (0.4993, 0.9993, 0.1273)
Y (0.5007, 0.0007, 0.8727)
Y (0.5010, 0.4990, 0.0779)
Y (0.5116, 0.0116, 0.4166)
Y (0.5146, 0.4854, 0.5604)
Y (0.7500, 0.7500, 0.1994)
Y (0.7500, 0.7500, 0.3284)
Y (0.7500, 0.7500, 0.6716)
Y (0.7500, 0.7500, 0.8006)
Y (0.9854, 0.0146, 0.5604)
Y (0.9884, 0.4884, 0.4166)
Y (0.9990, 0.0010, 0.0779)
Y (0.9993, 0.4993, 0.8727)

Most intense lines, 2θ = 15–90°, in order of rising 2θ:
two_theta  d (Å)  intensity
28.93  3.086  42
29.48  3.030  77
30.48  2.933  90
31.24  2.863  100
31.54  2.837  38
32.65  2.743  76
32.97  2.717  77
36.78  2.443  44
43.10  2.099  28
57.96  1.591  30



[4]
Pm3Pr6Y2: computed PXRD pattern (Cu Kα X-rays), based on a crystal structure in Alexandria, relaxed with GGA-PBE.

Crystal structure
a = 17.6601 Å, b = 17.6601 Å, c = 17.6601 Å
α = 164.31°, β = 164.31°, γ = 22.25°
Atoms (fractional coordinates):
Pm (0.0000, 0.0000, 0.0000)
Pm (0.1947, 0.1947, 0.0000)
Pm (0.8053, 0.8053, 0.0000)
Pr (0.1199, 0.6199, 0.5000)
Pr (0.2939, 0.2939, 0.0000)
Pr (0.3801, 0.8801, 0.5000)
Pr (0.6199, 0.1199, 0.5000)
Pr (0.7061, 0.7061, 0.0000)
Pr (0.8801, 0.3801, 0.5000)
Y (0.4550, 0.4550, 0.0000)
Y (0.5450, 0.5450, 0.0000)

Most intense lines, 2θ = 15–90°, in order of rising 2θ:
two_theta  d (Å)  intensity
25.74  3.461  27
28.14  3.172  100
30.96  2.888  20
33.45  2.679  63
34.00  2.637  19
37.31  2.410  55
49.25  1.850  22
53.79  1.704  20
61.80  1.501  21
64.85  1.438  19



[5]
Pm4Pr3Y8: computed PXRD pattern (Cu Kα X-rays), based on a crystal structure in Alexandria, relaxed with GGA-PBE.

Crystal structure
a = 12.6063 Å, b = 12.6063 Å, c = 12.6063 Å
α = 32.54°, β = 32.54°, γ = 32.54°
Atoms (fractional coordinates):
Pm (0.0000, 0.0000, 0.0000)
Pm (0.1641, 0.1641, 0.1641)
Pm (0.5000, 0.5000, 0.5000)
Pm (0.8359, 0.8359, 0.8359)
Pr (0.0000, 0.5000, 0.5000)
Pr (0.5000, 0.0000, 0.5000)
Pr (0.5000, 0.5000, 0.0000)
Y (0.2494, 0.7493, 0.7493)
Y (0.2507, 0.2507, 0.7506)
Y (0.2507, 0.7506, 0.2507)
Y (0.2539, 0.2539, 0.2539)
Y (0.7461, 0.7461, 0.7461)
Y (0.7493, 0.2494, 0.7493)
Y (0.7493, 0.7493, 0.2494)
Y (0.7506, 0.2507, 0.2507)

Most intense lines, 2θ = 15–90°, in order of rising 2θ:
two_theta  d (Å)  intensity
25.21  3.532  20
26.32  3.387  32
29.35  3.043  50
29.96  2.982  65
30.90  2.894  100
33.95  2.641  22
35.56  2.525  73
50.56  1.805  22
51.77  1.766  43
60.97  1.520  51



[6]
Pm16Pr7Y6: computed PXRD pattern (Cu Kα X-rays), based on a crystal structure in Alexandria, relaxed with GGA-PBE.

Crystal structure
a = 11.4023 Å, b = 11.4023 Å, c = 11.4023 Å
α = 60.00°, β = 60.00°, γ = 60.00°
Atoms (fractional coordinates):
Pm (0.0428, 0.6524, 0.6524)
Pm (0.1254, 0.1254, 0.1254)
Pm (0.1254, 0.1254, 0.6237)
Pm (0.1254, 0.6237, 0.1254)
Pm (0.3476, 0.3476, 0.3476)
Pm (0.3476, 0.3476, 0.9572)
Pm (0.3476, 0.9572, 0.3476)
Pm (0.3763, 0.8746, 0.8746)
Pm (0.6237, 0.1254, 0.1254)
Pm (0.6524, 0.0428, 0.6524)
Pm (0.6524, 0.6524, 0.0428)
Pm (0.6524, 0.6524, 0.6524)
Pm (0.8746, 0.3763, 0.8746)
Pm (0.8746, 0.8746, 0.3763)
Pm (0.8746, 0.8746, 0.8746)
Pm (0.9572, 0.3476, 0.3476)
Pr (0.0000, 0.0000, 0.0000)
Pr (0.0000, 0.0000, 0.5000)
Pr (0.0000, 0.5000, 0.0000)
Pr (0.0000, 0.5000, 0.5000)
Pr (0.5000, 0.0000, 0.0000)
Pr (0.5000, 0.0000, 0.5000)
Pr (0.5000, 0.5000, 0.0000)
Y (0.2685, 0.2685, 0.7315)
Y (0.2685, 0.7315, 0.2685)
Y (0.2685, 0.7315, 0.7315)
Y (0.7315, 0.2685, 0.2685)
Y (0.7315, 0.2685, 0.7315)
Y (0.7315, 0.7315, 0.2685)

Most intense lines, 2θ = 15–90°, in order of rising 2θ:
two_theta  d (Å)  intensity
28.77  3.103  11
31.38  2.851  100
32.86  2.726  9
44.97  2.016  13
51.64  1.770  6
55.86  1.646  25
56.81  1.621  6
65.49  1.425  7
74.42  1.275  6
79.53  1.205  5



[7]
Pm6Pr7Y16: computed PXRD pattern (Cu Kα X-rays), based on a crystal structure in Alexandria, relaxed with GGA-PBE.

Crystal structure
a = 11.3960 Å, b = 11.3960 Å, c = 11.3960 Å
α = 60.00°, β = 60.00°, γ = 60.00°
Atoms (fractional coordinates):
Pm (0.2449, 0.2449, 0.7551)
Pm (0.2449, 0.7551, 0.2449)
Pm (0.2449, 0.7551, 0.7551)
Pm (0.7551, 0.2449, 0.2449)
Pm (0.7551, 0.2449, 0.7551)
Pm (0.7551, 0.7551, 0.2449)
Pr (0.0000, 0.0000, 0.0000)
Pr (0.0000, 0.0000, 0.5000)
Pr (0.0000, 0.5000, 0.0000)
Pr (0.0000, 0.5000, 0.5000)
Pr (0.5000, 0.0000, 0.0000)
Pr (0.5000, 0.0000, 0.5000)
Pr (0.5000, 0.5000, 0.0000)
Y (0.0649, 0.6450, 0.6450)
Y (0.1327, 0.1327, 0.1327)
Y (0.1327, 0.1327, 0.6019)
Y (0.1327, 0.6019, 0.1327)
Y (0.3550, 0.3550, 0.3550)
Y (0.3550, 0.3550, 0.9351)
Y (0.3550, 0.9351, 0.3550)
Y (0.3981, 0.8673, 0.8673)
Y (0.6019, 0.1327, 0.1327)
Y (0.6450, 0.0649, 0.6450)
Y (0.6450, 0.6450, 0.0649)
Y (0.6450, 0.6450, 0.6450)
Y (0.8673, 0.3981, 0.8673)
Y (0.8673, 0.8673, 0.3981)
Y (0.8673, 0.8673, 0.8673)
Y (0.9351, 0.3550, 0.3550)

Most intense lines, 2θ = 15–90°, in order of rising 2θ:
two_theta  d (Å)  intensity
15.55  5.698  8
24.70  3.604  5
27.11  3.290  7
31.40  2.849  100
35.22  2.548  5
45.00  2.015  16
50.66  1.802  4
55.90  1.645  31
65.53  1.425  9
74.47  1.274  10



[8]
Pm6Pr2Y: computed PXRD pattern (Cu Kα X-rays), based on a crystal structure in Alexandria, relaxed with GGA-PBE.

Crystal structure
a = 3.6631 Å, b = 3.6631 Å, c = 27.1652 Å
α = 90.00°, β = 90.00°, γ = 120.00°
Atoms (fractional coordinates):
Pm (0.0000, 0.0000, 0.0629)
Pm (0.0000, 0.0000, 0.2845)
Pm (0.0000, 0.0000, 0.7155)
Pm (0.0000, 0.0000, 0.9371)
Pm (0.3333, 0.6667, 0.3929)
Pm (0.3333, 0.6667, 0.6071)
Pr (0.3333, 0.6667, 0.1706)
Pr (0.3333, 0.6667, 0.8294)
Y (0.0000, 0.0000, 0.5000)

Most intense lines, 2θ = 15–90°, in order of rising 2θ:
two_theta  d (Å)  intensity
28.13  3.172  47
29.60  3.018  48
29.84  2.994  19
31.12  2.874  59
32.69  2.740  100
41.29  2.187  30
49.78  1.832  38
55.52  1.655  32
58.99  1.566  41
60.84  1.523  17



[9]
Pm15Pr4Y: computed PXRD pattern (Cu Kα X-rays), based on a crystal structure in Alexandria, relaxed with GGA-PBE.

Crystal structure
a = 5.1823 Å, b = 5.1823 Å, c = 25.8660 Å
α = 90.00°, β = 90.00°, γ = 90.00°
Atoms (fractional coordinates):
Pm (0.0000, 0.0000, 0.0000)
Pm (0.0000, 0.0000, 0.1988)
Pm (0.0000, 0.0000, 0.3997)
Pm (0.0000, 0.0000, 0.6003)
Pm (0.0000, 0.0000, 0.8012)
Pm (0.0000, 0.5000, 0.0987)
Pm (0.0000, 0.5000, 0.2994)
Pm (0.0000, 0.5000, 0.5000)
Pm (0.0000, 0.5000, 0.7006)
Pm (0.0000, 0.5000, 0.9013)
Pm (0.5000, 0.0000, 0.0987)
Pm (0.5000, 0.0000, 0.2994)
Pm (0.5000, 0.0000, 0.5000)
Pm (0.5000, 0.0000, 0.7006)
Pm (0.5000, 0.0000, 0.9013)
Pr (0.5000, 0.5000, 0.1990)
Pr (0.5000, 0.5000, 0.3996)
Pr (0.5000, 0.5000, 0.6004)
Pr (0.5000, 0.5000, 0.8010)
Y (0.5000, 0.5000, 0.0000)

Most intense lines, 2θ = 15–90°, in order of rising 2θ:
two_theta  d (Å)  intensity
29.88  2.990  100
34.64  2.590  51
49.80  1.831  36
59.16  1.562  43
62.08  1.495  12
73.03  1.296  4
80.86  1.189  6
80.93  1.188  12
83.42  1.159  11
83.55  1.157  5



[10]
Pm3Pr7Y2: computed PXRD pattern (Cu Kα X-rays), based on a crystal structure in Alexandria, relaxed with GGA-PBE.

Crystal structure
a = 6.5863 Å, b = 3.6092 Å, c = 17.9368 Å
α = 90.00°, β = 95.95°, γ = 90.00°
Atoms (fractional coordinates):
Pm (0.0000, 0.0000, 0.0000)
Pm (0.0444, 0.5000, 0.6611)
Pm (0.9556, 0.5000, 0.3389)
Pr (0.2277, 0.5000, 0.1680)
Pr (0.2429, 0.0000, 0.5052)
Pr (0.2746, 0.0000, 0.8294)
Pr (0.5000, 0.5000, 0.0000)
Pr (0.7254, 0.0000, 0.1706)
Pr (0.7571, 0.0000, 0.4948)
Pr (0.7723, 0.5000, 0.8320)
Y (0.4442, 0.0000, 0.3304)
Y (0.5558, 0.0000, 0.6696)

Most intense lines, 2θ = 15–90°, in order of rising 2θ:
two_theta  d (Å)  intensity
28.93  3.086  72
29.75  3.003  85
30.05  2.973  100
30.47  2.934  96
32.55  2.751  71
33.93  2.642  86
37.04  2.427  35
46.89  1.938  27
48.54  1.875  38
59.96  1.543  28



[11]
Pm4PrY4: computed PXRD pattern (Cu Kα X-rays), based on a crystal structure in Alexandria, relaxed with GGA-PBE.

Crystal structure
a = 6.2667 Å, b = 9.5892 Å, c = 10.8538 Å
α = 100.92°, β = 106.48°, γ = 96.16°
Atoms (fractional coordinates):
Pm (0.2486, 0.4157, 0.3599)
Pm (0.2497, 0.0833, 0.4719)
Pm (0.2498, 0.7506, 0.2491)
Pm (0.2501, 0.7516, 0.9171)
Pm (0.7499, 0.2484, 0.0829)
Pm (0.7502, 0.2494, 0.7509)
Pm (0.7503, 0.9167, 0.5281)
Pm (0.7514, 0.5843, 0.6401)
Pr (0.2511, 0.4161, 0.6954)
Pr (0.7489, 0.5839, 0.3046)
Y (0.2484, 0.4162, 0.0275)
Y (0.2496, 0.0825, 0.1379)
Y (0.2507, 0.0819, 0.8069)
Y (0.2526, 0.7518, 0.5843)
Y (0.7474, 0.2482, 0.4157)
Y (0.7493, 0.9181, 0.1931)
Y (0.7504, 0.9175, 0.8621)
Y (0.7516, 0.5838, 0.9725)

Most intense lines, 2θ = 15–90°, in order of rising 2θ:
two_theta  d (Å)  intensity
30.22  2.958  100
34.97  2.566  34
35.15  2.553  17
50.41  1.810  30
59.75  1.548  14
59.85  1.545  14
60.04  1.541  14
62.77  1.480  6
82.03  1.175  8
84.52  1.146  7